# 1
Simulated powder diffraction line list of TeWS for λ = 1.5418 Å (Cu Kα), from a cell relaxed with GGA-PBE.
Intensities are scaled so that the largest is 100.

Atomic structure:
abc: 3.3598 3.3598 39.3892
angles: 90.00 90.00 120.00
Element x y z (fractional)
Te  0.0000  0.0000  0.0000
Te  0.0000  0.0000  0.0965
Te  0.3333  0.6667  0.8098
Te  0.3333  0.6667  0.9062
W  0.0000  0.0000  0.4833
W  0.0000  0.0000  0.8579
W  0.3333  0.6667  0.0482
W  0.3333  0.6667  0.6711
S  0.0000  0.0000  0.6325
S  0.0000  0.0000  0.7096
S  0.3333  0.6667  0.4448
S  0.3333  0.6667  0.5219

Top 6 peaks for 2θ = 10–90°, most intense first:
| d (Å) | 2theta | I_rel |
| --- | --- | --- |
| 7.878 | 11.23 | 100 |
| 2.505 | 35.85 | 70 |
| 2.099 | 43.10 | 40 |
| 2.908 | 30.75 | 34 |
| 1.680 | 54.64 | 24 |
| 6.565 | 13.49 | 20 |

# 2
Simulated powder diffraction line list of TeWS for λ = 1.5418 Å (Cu Kα), from a cell relaxed with GGA-PBE.
Intensities are scaled so that the largest is 100.

Atomic structure:
abc: 3.3576 3.3576 39.3959
angles: 90.00 90.00 120.00
Element x y z (fractional)
Te  0.3333  0.6667  0.3568
Te  0.3333  0.6667  0.4533
Te  0.6667  0.3333  0.5467
Te  0.6667  0.3333  0.6432
W  0.3333  0.6667  0.2181
W  0.3333  0.6667  0.5950
W  0.6667  0.3333  0.4050
W  0.6667  0.3333  0.7819
S  0.3333  0.6667  0.7434
S  0.3333  0.6667  0.8204
S  0.6667  0.3333  0.1796
S  0.6667  0.3333  0.2566

Top 6 peaks for 2θ = 10–90°, most intense first:
| d (Å) | 2theta | I_rel |
| --- | --- | --- |
| 7.879 | 11.23 | 100 |
| 2.504 | 35.86 | 70 |
| 2.905 | 30.78 | 41 |
| 2.098 | 43.11 | 41 |
| 1.678 | 54.69 | 27 |
| 2.422 | 37.12 | 16 |